# 1
Simulated powder diffraction line list of NaCaSb2O7 for Cu Kα (weighted mean of Kα1 and Kα2), from a structure optimized by DFT (PBE).

Top 10 peaks for 2θ from 15° to 90°, in order of rising 2θ:
2θ (°)	I/Imax
28.25	26
28.39	13
29.58	100
34.21	16
49.10	8
49.22	9
49.34	34
58.43	28
58.75	14
80.05	11

Cell and atoms:
abc: 7.3880 7.3880 7.3880
angles: 119.85 119.70 90.39
Fractional coordinates of all 22 atoms:
Na  0.5000  0.0000  0.0000
Na  0.5000  0.5000  0.5000
Ca  0.0000  0.0000  0.0000
Ca  0.5000  0.0000  0.5000
Sb  0.0000  0.0000  0.5000
Sb  0.0000  0.5000  0.0000
Sb  0.0000  0.5000  0.5000
Sb  0.5000  0.5000  0.0000
O  0.0698  0.4208  0.2444
O  0.0698  0.8254  0.6490
O  0.0768  0.8268  0.2500
O  0.3236  0.1746  0.7444
O  0.3243  0.5743  0.7500
O  0.3236  0.5792  0.1490
O  0.3672  0.1172  0.2500
O  0.6328  0.8828  0.7500
O  0.6764  0.4208  0.8510
O  0.6757  0.4257  0.2500
O  0.6764  0.8254  0.2556
O  0.9232  0.1732  0.7500
O  0.9302  0.1746  0.3510
O  0.9302  0.5792  0.7556

***

# 2
Simulated powder diffraction line list of PuPaGaGe for Cu Kα (weighted mean of Kα1 and Kα2), from a structure optimized by DFT (PBE).

Top 10 peaks for 2θ from 15° to 90°, in order of rising 2θ:
2θ (°)	I/Imax
21.36	25
27.91	24
35.42	100
39.07	13
40.68	20
43.52	16
44.28	13
61.09	12
70.63	14
74.62	12

Cell and atoms:
abc: 4.1591 4.4355 4.6111
angles: 90.00 90.00 90.00
Fractional coordinates of all 4 atoms:
Pu  0.0000  0.0000  0.0000
Pa  0.0000  0.5000  0.6124
Ga  0.5000  0.0000  0.5060
Ge  0.5000  0.5000  0.1198

***

# 3
Simulated powder diffraction line list of BaO5 for Cu Kα (weighted mean of Kα1 and Kα2), from a structure optimized by DFT (PBE).

Top 10 peaks for 2θ from 15° to 90°, in order of rising 2θ:
2θ (°)	I/Imax
16.59	84
21.33	32
27.14	100
27.52	58
31.17	26
33.09	61
34.03	39
40.09	35
44.30	67
50.77	37

Cell and atoms:
abc: 6.8035 10.6882 5.2689
angles: 90.00 90.00 90.00
Fractional coordinates of all 24 atoms:
Ba  0.0804  0.2500  0.0216
Ba  0.4196  0.7500  0.5216
Ba  0.5804  0.2500  0.4784
Ba  0.9196  0.7500  0.9784
O  0.0265  0.7500  0.4725
O  0.0868  0.0835  0.5516
O  0.0868  0.4165  0.5516
O  0.2492  0.0843  0.4202
O  0.2492  0.4157  0.4202
O  0.2508  0.5843  0.9202
O  0.2508  0.9157  0.9202
O  0.4132  0.5835  0.0516
O  0.4132  0.9165  0.0516
O  0.4735  0.2500  0.9725
O  0.5265  0.7500  0.0275
O  0.5868  0.0835  0.9484
O  0.5868  0.4165  0.9484
O  0.7492  0.0843  0.0798
O  0.7492  0.4157  0.0798
O  0.7508  0.5843  0.5798
O  0.7508  0.9157  0.5798
O  0.9132  0.5835  0.4484
O  0.9132  0.9165  0.4484
O  0.9735  0.2500  0.5275

***

Q: Number 1 is which compound?
A: NaCaSb2O7